The following is a theoretical PXRD pattern of LaNbTcP2. It was derived from DFT lattice parameters and positions (PBE), using Cu Kα (λ = 1.5418 Å).
No peak broadening, texture or thermal motion is included.

Top 8 peaks for 10 to 90 degrees two-theta, by intensity:
35.3 deg, intensity 100; 31.4 deg, intensity 41; 45.9 deg, intensity 33; 29.0 deg, intensity 28; 55.5 deg, intensity 27; 23.6 deg, intensity 21; 78.0 deg, intensity 19; 55.2 deg, intensity 19

Cell and atoms:
```
LaNbTcP2
1.0
-1.9767 1.9767 6.1582
1.9767 -1.9767 6.1582
1.9767 1.9767 -6.1582
La Nb Tc P
1 1 1 2
Direct
0.0000 0.0000 0.0000
0.2500 0.7500 0.5000
0.7500 0.2500 0.5000
0.3730 0.3730 0.0000
0.6270 0.6270 0.0000
```


The following is a theoretical PXRD pattern of Ba3SnBi3. It was derived from DFT lattice parameters and positions (PBE), using Cu Kα (λ = 1.5418 Å).
No peak broadening, texture or thermal motion is included.

Top 8 peaks for 10 to 90 degrees two-theta, by intensity:
26.3 deg, intensity 100; 24.9 deg, intensity 89; 36.6 deg, intensity 86; 30.0 deg, intensity 54; 39.3 deg, intensity 52; 17.2 deg, intensity 43; 44.4 deg, intensity 32; 36.2 deg, intensity 28

Cell and atoms:
```
Ba3SnBi3
1.0
10.3338 0.0000 0.0000
-5.1669 8.9493 0.0000
0.0000 0.0000 7.1472
Ba Sn Bi
6 2 6
Direct
0.0783 0.3903 0.2500
0.3120 0.9217 0.2500
0.3903 0.3120 0.7500
0.6097 0.6880 0.2500
0.6880 0.0783 0.7500
0.9217 0.6097 0.7500
0.3333 0.6667 0.7500
0.6667 0.3333 0.2500
0.0777 0.3618 0.7500
0.2841 0.9223 0.7500
0.3618 0.2841 0.2500
0.6382 0.7159 0.7500
0.7159 0.0777 0.2500
0.9223 0.6382 0.2500
```